Computed powder diffraction line list
Compound: Na3VO3
Radiation: a wavelength of 1.5418 Å
Structure: a DFT-relaxed cell (GGA+U, Alexandria)
No peak broadening, texture or thermal motion is included.

Atomic structure:
Cell lengths 8.7750, 8.7750, 6.1572 Å; angles 110.15, 110.15, 76.76 degrees
Atoms (fractional coordinates):
Na 0.0568 0.9432 0.7500
Na 0.1356 0.2694 0.0790
Na 0.2196 0.7804 0.2500
Na 0.2694 0.1356 0.5790
Na 0.3260 0.4951 0.9501
Na 0.4951 0.3260 0.4501
Na 0.5049 0.6740 0.5499
Na 0.6740 0.5049 0.0499
Na 0.7306 0.8644 0.4210
Na 0.7804 0.2196 0.7500
Na 0.8644 0.7306 0.9210
Na 0.9432 0.0568 0.2500
V 0.0760 0.5873 0.4094
V 0.4127 0.9240 0.0906
V 0.5873 0.0760 0.9094
V 0.9240 0.4127 0.5906
O 0.0182 0.2107 0.6621
O 0.0680 0.5915 0.7286
O 0.2107 0.0182 0.1621
O 0.2731 0.5103 0.3189
O 0.4085 0.9320 0.7714
O 0.4897 0.7269 0.1811
O 0.5103 0.2731 0.8189
O 0.5915 0.0680 0.2286
O 0.7269 0.4897 0.6811
O 0.7893 0.9818 0.8379
O 0.9320 0.4085 0.2714
O 0.9818 0.7893 0.3379

Peak list (6 most intense, 5° ≤ 2θ ≤ 70°, sorted by position)
d/Å  2θ/deg  intensity
5.448  16.27  42
4.065  21.86  100
2.796  32.01  75
2.412  37.28  38
2.192  41.19  77
1.787  51.12  60